1.
Starting from a structure optimized by DFT (GGA-PBE), the powder XRD pattern of Ba2ZnCu3F14 was computed for Cu Kα X-rays.
Peak positions follow from Bragg's law for the DFT cell and can differ from measured ones.

Top 12 peaks for 2θ = 10–90°, sorted by position:
2θ/deg  I/Imax  (hkl)
24.4  16  0 0 4
25.7  100  3 1 0
27.4  23  2 0 -4
27.9  15  2 0 4
28.3  33  4 0 -2
28.7  28  4 0 2
30.4  31  1 1 -4
30.6  32  1 1 4
34.1  20  0 2 0
41.2  31  6 0 2
42.4  16  0 2 4
45.2  22  3 1 -6

```
data_Ba2ZnCu3F14
_chemical_formula_sum 'Ba8 Zn4 Cu12 F56'
_cell_length_a 13.8661
_cell_length_b 5.2586
_cell_length_c 14.5772
_cell_angle_alpha 90.00
_cell_angle_beta 91.11
_cell_angle_gamma 90.00
_space_group_name_H-M_alt 'C 1 2/c 1'
_space_group_IT_number 15
_space_group_name_Hall '-C 2yc'
loop_
_atom_site_label
_atom_site_type_symbol
_atom_site_fract_x
_atom_site_fract_y
_atom_site_fract_z
Ba1 Ba 0.1910 0.0539 0.1199
Zn1 Zn 0.0000 0.4453 0.7500
Cu1 Cu 0.0000 0.5000 0.0000
Cu2 Cu 0.1151 0.0070 0.3732
F1 F 0.0096 0.1084 0.6638
F2 F 0.0540 0.4359 0.1215
F3 F 0.0760 0.1920 0.4840
F4 F 0.1137 0.3038 0.2906
F5 F 0.1218 0.2959 0.9554
F6 F 0.1683 0.2026 0.7767
F7 F 0.2444 0.0713 0.4152
```


2.
Starting from a structure optimized by DFT (GGA-PBE), the powder XRD pattern of BaFeCu3 was computed for Cu Kα X-rays.
Peak positions follow from Bragg's law for the DFT cell and can differ from measured ones.

Top 11 peaks for 2θ = 10–90°, sorted by position:
2θ/deg  I/Imax  (hkl)
26.6  48  1 1 0
32.7  99  1 1 1
37.9  100  2 0 0
46.9  20  2 1 1
54.7  66  2 2 0
61.8  9  3 1 0
65.2  38  3 1 1
68.5  21  2 2 2
74.9  10  3 2 1
81.1  10  4 0 0
87.1  5  4 1 1

```
data_BaFeCu3
_chemical_formula_sum 'Ba1 Fe1 Cu3'
_cell_length_a 4.7452
_cell_length_b 4.7452
_cell_length_c 4.7452
_cell_angle_alpha 90.00
_cell_angle_beta 90.00
_cell_angle_gamma 90.00
_space_group_name_H-M_alt 'P m -3 m'
_space_group_IT_number 221
_space_group_name_Hall '-P 4 2 3'
loop_
_atom_site_label
_atom_site_type_symbol
_atom_site_fract_x
_atom_site_fract_y
_atom_site_fract_z
Ba1 Ba 0.0000 0.0000 0.0000
Fe1 Fe 0.5000 0.5000 0.5000
Cu1 Cu 0.0000 0.5000 0.5000
```